Entry 1:
Structure and computed XRD peak list of Tm3Tl2Co (DFT lattice parameters and positions (PBE); CuKα).
Kinematic intensities with the Lorentz-polarization factor, no thermal factor.

Structural model:
a b c (Å): 8.7569 16.4602 5.1269
angles (deg): 90.00 125.78 90.00
Space group C2/m (No. 12)
Symmetry-distinct sites (fractional):
Tm  0.0000  0.1228  0.0000 x4
Tm  0.0000  0.3771  0.5000 x4
Tm  0.2500  0.0000  0.7484 x4
Tl  0.2503  0.1935  0.7504 x8
Co  0.2500  0.0000  0.2484 x4

Most intense lines, 2θ from 10° to 90°, by intensity:
2θ/deg	I_rel	h k l
32.32	100.0	1 5 -1
31.11	92.5	1 1 1
35.00	67.3	2 0 -2
34.81	65.1	1 3 1
33.32	64.5	2 4 0
49.10	43.6	0 4 2
62.09	40.2	3 5 1
63.67	24.5	2 0 2

***

Entry 2:
Structure and computed XRD peak list of TlCo2W (DFT lattice parameters and positions (PBE); CuKα).
Kinematic intensities with the Lorentz-polarization factor, no thermal factor.

Structural model:
a b c (Å): 3.0800 3.1167 6.2943
angles (deg): 90.00 90.29 90.00
Space group P2/m (No. 10)
Symmetry-distinct sites (fractional):
Tl  0.0000  0.0000  0.0000 x1
Co  0.4976  0.5000  0.2994 x2
W  0.0000  0.0000  0.5000 x1

Most intense lines, 2θ from 10° to 90°, by intensity:
2θ/deg	I_rel	h k l
41.18	100.0	1 1 0
40.74	64.4	0 1 2
40.89	31.7	1 0 -2
28.36	28.0	0 0 2
28.64	22.8	0 1 0
28.99	22.2	1 0 0
50.69	12.1	1 1 -2
66.58	11.8	1 0 -4

***

Entry 3:
Structure and computed XRD peak list of Y7Tl2Co2 (DFT lattice parameters and positions (PBE); CuKα).
Kinematic intensities with the Lorentz-polarization factor, no thermal factor.

Structural model:
a b c (Å): 7.8931 11.0765 7.0316
angles (deg): 90.00 90.00 90.00
Space group Cmmm (No. 65)
Symmetry-distinct sites (fractional):
Y  0.0000  0.0000  0.0000 x2
Y  0.0000  0.5000  0.2313 x4
Y  0.2500  0.2500  0.2410 x8
Tl  0.1836  0.0000  0.5000 x4
Co  0.0000  0.2929  0.0000 x4

Most intense lines, 2θ from 10° to 90°, by intensity:
2θ/deg	I_rel	h k l
37.93	100.0	2 2 2
32.33	68.6	0 4 0
20.41	60.9	0 2 1
28.95	48.1	1 1 2
25.89	47.8	2 0 1
30.11	44.3	0 2 2
37.10	42.5	1 3 2
41.87	29.6	2 4 1